[1]
Simulated XRD peak list of TbSi2Pd for Cu Kα X-rays, from the GGA-PBE geometry in Alexandria.
Kinematic intensities with the Lorentz-polarization factor, no thermal factor.

Main lines, sorted by position (5 to 70 degrees two-theta):
- 23.4°, d = 3.809 Å, I 230, (0 1 1)
- 24.3°, d = 3.665 Å, I 171, (1 1 1)
- 27.9°, d = 3.199 Å, I 181, (4 0 1)
- 33.9°, d = 2.642 Å, I 210, (0 0 4)
- 34.3°, d = 2.616 Å, I 408, (1 1 3)
- 34.6°, d = 2.593 Å, I 1000, (4 1 0)
- 36.2°, d = 2.479 Å, I 379, (2 1 3)
- 42.3°, d = 2.136 Å, I 158, (5 0 3)
- 44.4°, d = 2.042 Å, I 309, (0 2 0)
- 48.2°, d = 1.889 Å, I 158, (6 0 3)
- 49.2°, d = 1.851 Å, I 212, (4 1 4)
- 67.6°, d = 1.386 Å, I 254, (2 1 7)

Structural model:
```
data_TbSi2Pd
_chemical_formula_sum 'Tb8 Si16 Pd8'
_symmetry_space_group_name_H-M 'P n m a'
_symmetry_Int_Tables_number 62
_cell_length_a 13.4279
_cell_length_b 4.0839
_cell_length_c 10.5669
_cell_angle_alpha 90.00
_cell_angle_beta 90.00
_cell_angle_gamma 90.00
loop_
_symmetry_equiv_pos_as_xyz
'x,y,z'
'-x,-y,-z'
'-x+1/2,-y,z+1/2'
'x+1/2,y,-z+1/2'
'x+1/2,-y+1/2,-z+1/2'
'-x+1/2,y+1/2,z+1/2'
'-x,y+1/2,-z'
'x,-y+1/2,z'
loop_
_atom_site_label
_atom_site_fract_x
_atom_site_fract_y
_atom_site_fract_z
Tb1 0.0502 0.2500 0.2457
Tb2 0.1993 0.7500 0.9757
Si1 0.0301 0.2500 0.9578
Si2 0.1158 0.2500 0.7679
Si3 0.1256 0.7500 0.4616
Si4 0.2083 0.7500 0.2668
Pd1 0.0600 0.2500 0.5553
Pd2 0.2064 0.7500 0.6794
```

---

[2]
Simulated XRD peak list of Tb3Si2Pd6 for Cu Kα X-rays, from the GGA-PBE geometry in Alexandria.
Kinematic intensities with the Lorentz-polarization factor, no thermal factor.

Main lines, sorted by position (5 to 70 degrees two-theta):
- 13.4°, d = 6.631 Å, I 70, (1 1 0)
- 26.9°, d = 3.316 Å, I 188, (2 2 0)
- 30.1°, d = 2.966 Å, I 268, (3 1 0)
- 33.1°, d = 2.707 Å, I 68, (2 2 2)
- 35.8°, d = 2.506 Å, I 332, (3 2 1)
- 38.4°, d = 2.344 Å, I 190, (4 0 0)
- 40.8°, d = 2.210 Å, I 1000, (3 3 0)
- 49.6°, d = 1.839 Å, I 51, (5 1 0)
- 57.3°, d = 1.608 Å, I 113, (4 3 3)
- 59.1°, d = 1.563 Å, I 122, (6 0 0)
- 60.9°, d = 1.521 Å, I 202, (5 3 2)
- 66.1°, d = 1.414 Å, I 133, (6 2 2)

Structural model:
```
data_Tb3Si2Pd6
_chemical_formula_sum 'Tb12 Si8 Pd24'
_symmetry_space_group_name_H-M 'I m -3 m'
_symmetry_Int_Tables_number 229
_symmetry_space_group_name_Hall '-I 4 2 3'
_cell_length_a 9.3778
_cell_length_b 9.3778
_cell_length_c 9.3778
_cell_angle_alpha 90.00
_cell_angle_beta 90.00
_cell_angle_gamma 90.00
loop_
_atom_site_label
_atom_site_fract_x
_atom_site_fract_y
_atom_site_fract_z
Tb1 0.0000 0.0000 0.2867
Si1 0.2500 0.2500 0.2500
Pd1 0.0000 0.3232 0.3232
```

---

[3]
Simulated XRD peak list of Tb3Si3Pd2 for Cu Kα X-rays, from the GGA-PBE geometry in Alexandria.
Kinematic intensities with the Lorentz-polarization factor, no thermal factor.

Main lines, sorted by position (5 to 70 degrees two-theta):
- 25.4°, d = 3.513 Å, I 262, (0 2 3)
- 25.8°, d = 3.456 Å, I 232, (1 1 2)
- 33.7°, d = 2.658 Å, I 761, (1 3 1)
- 33.9°, d = 2.642 Å, I 1000, (1 1 4)
- 34.8°, d = 2.578 Å, I 195, (0 4 1)
- 36.0°, d = 2.497 Å, I 197, (0 2 5)
- 38.0°, d = 2.366 Å, I 276, (0 0 6)
- 38.3°, d = 2.349 Å, I 492, (1 3 3)
- 39.3°, d = 2.293 Å, I 248, (0 4 3)
- 42.0°, d = 2.152 Å, I 269, (1 3 4)
- 42.3°, d = 2.136 Å, I 421, (2 0 0)
- 56.7°, d = 1.623 Å, I 363, (1 3 7)

Structural model:
```
data_Tb3Si3Pd2
_chemical_formula_sum 'Tb12 Si12 Pd8'
_symmetry_space_group_name_H-M 'C m c m'
_symmetry_Int_Tables_number 63
_symmetry_space_group_name_Hall '-C 2c 2'
_cell_length_a 4.2724
_cell_length_b 10.4864
_cell_length_c 14.1958
_cell_angle_alpha 90.00
_cell_angle_beta 90.00
_cell_angle_gamma 90.00
loop_
_atom_site_label
_atom_site_fract_x
_atom_site_fract_y
_atom_site_fract_z
Tb1 0.0000 0.0870 0.1110
Tb2 0.0000 0.3649 0.2500
Si1 0.0000 0.3390 0.7500
Si2 0.0000 0.3950 0.0393
Pd1 0.0000 0.2053 0.5940
```